Record 1
Calculated powder diffractogram of Mg5Rh4 for Cu Kα X-rays, from a crystal structure in Alexandria, relaxed with GGA-PBE.
Kinematic intensities with the Lorentz-polarization factor, no thermal factor.

Most intense lines, 2θ = 15–90°, by intensity:
40.25°, I 100; 28.16°, I 43; 73.11°, I 17; 58.23°, I 13; 26.49°, I 13; 39.05°, I 12; 82.56°, I 12; 59.95°, I 9; 49.81°, I 7; 51.75°, I 7

Structure:
```
Mg5Rh4
1.0
7.770 0.000 0.000
-3.885 6.729 0.000
0.000 0.000 5.476
Mg Rh
10 8
direct
0.000 0.294 0.250
0.000 0.706 0.750
0.294 0.000 0.250
0.294 0.294 0.750
0.333 0.667 0.000
0.333 0.667 0.500
0.667 0.333 0.000
0.667 0.333 0.500
0.706 0.000 0.750
0.706 0.706 0.250
0.000 0.000 0.000
0.000 0.000 0.500
0.000 0.366 0.750
0.000 0.634 0.250
0.366 0.000 0.750
0.366 0.366 0.250
0.634 0.000 0.250
0.634 0.634 0.750
```

***

Record 2
Calculated powder diffractogram of Pr9Sm4Zn11 for Cu Kα X-rays, from a crystal structure in Alexandria, relaxed with GGA-PBE.
Kinematic intensities with the Lorentz-polarization factor, no thermal factor.

Most intense lines, 2θ = 15–90°, by intensity:
33.44°, I 100; 34.02°, I 87; 34.77°, I 86; 62.21°, I 33; 24.78°, I 25; 63.40°, I 22; 50.82°, I 21; 42.06°, I 19; 59.65°, I 19; 61.12°, I 18

Structure:
```
Pr9Sm4Zn11
1.0
7.755 -11.124 0.000
7.755 11.124 0.000
0.000 0.000 3.593
Pr Sm Zn
9 4 11
direct
0.000 0.000 0.000
0.125 0.643 0.000
0.294 0.467 0.000
0.357 0.875 0.000
0.467 0.294 0.000
0.533 0.706 0.000
0.643 0.125 0.000
0.706 0.533 0.000
0.875 0.357 0.000
0.066 0.249 0.000
0.249 0.066 0.000
0.751 0.934 0.000
0.934 0.751 0.000
0.084 0.442 0.500
0.135 0.865 0.500
0.257 0.257 0.500
0.330 0.670 0.500
0.442 0.084 0.500
0.500 0.500 0.500
0.558 0.916 0.500
0.670 0.330 0.500
0.743 0.743 0.500
0.865 0.135 0.500
0.916 0.558 0.500
```

***

Record 3
Calculated powder diffractogram of Pr3MgSn5 for Cu Kα X-rays, from a crystal structure in Alexandria, relaxed with GGA-PBE.
Kinematic intensities with the Lorentz-polarization factor, no thermal factor.

Most intense lines, 2θ = 15–90°, by intensity:
32.54°, I 100; 33.75°, I 99; 31.91°, I 62; 47.59°, I 28; 67.79°, I 25; 41.91°, I 22; 58.83°, I 20; 27.90°, I 19; 61.14°, I 18; 51.95°, I 16

Structure:
```
Pr3MgSn5
1.0
9.533 0.000 0.000
-4.766 8.256 0.000
0.000 0.000 6.395
Pr Mg Sn
6 2 10
direct
0.000 0.378 0.250
0.000 0.622 0.750
0.378 0.000 0.250
0.378 0.378 0.750
0.622 0.000 0.750
0.622 0.622 0.250
0.000 0.000 0.000
0.000 0.000 0.500
0.000 0.280 0.750
0.000 0.720 0.250
0.280 0.000 0.750
0.280 0.280 0.250
0.333 0.667 0.000
0.333 0.667 0.500
0.667 0.333 0.000
0.667 0.333 0.500
0.720 0.000 0.250
0.720 0.720 0.750
```

***

Record 4
Calculated powder diffractogram of In4CoPb2 for Cu Kα X-rays, from a crystal structure in Alexandria, relaxed with GGA-PBE.
Kinematic intensities with the Lorentz-polarization factor, no thermal factor.

Most intense lines, 2θ = 15–90°, by intensity:
27.86°, I 100; 37.18°, I 70; 39.25°, I 58; 30.68°, I 52; 26.05°, I 44; 55.17°, I 43; 48.95°, I 29; 53.59°, I 24; 61.47°, I 22; 23.50°, I 16

Structure:
```
In4CoPb2
1.0
-2.418 2.418 9.128
2.418 -2.418 9.128
2.418 2.418 -9.128
In Co Pb
4 1 2
direct
0.000 0.500 0.500
0.136 0.136 0.000
0.500 0.000 0.500
0.864 0.864 0.000
0.000 0.000 0.000
0.296 0.296 0.000
0.704 0.704 0.000
```